[1]
This entry pairs a crystal structure of CrTc2Os with its calculated powder XRD pattern. Radiation: copper Kα. Structure: DFT lattice parameters and positions (PBE).
No peak broadening, texture or thermal motion is included.

a = 2.710 Å, b = 3.789 Å, c = 5.430 Å
α = 90.00°, β = 90.00°, γ = 90.00°
Space group Pmm2 (No. 25)
Unique sites:
Cr  0.000  0.000  0.000 (multiplicity 1)
Tc  0.000  0.000  0.495 (multiplicity 1)
Tc  0.500  0.500  0.754 (multiplicity 1)
Os  0.500  0.500  0.233 (multiplicity 1)

Main lines, in order of rising 2θ (2θ = 5–70°):
- d 5.430, 2θ 16.32, I 9.9, hkl 0 0 1
- d 3.789, 2θ 23.48, I 9.3, hkl 0 1 0
- d 3.107, 2θ 28.73, I 7.5, hkl 0 1 1
- d 2.713, 2θ 33.02, I 8.0, hkl 1 0 0
- d 2.206, 2θ 40.92, I 100.0, hkl 1 1 0
- d 1.918, 2θ 47.40, I 32.3, hkl 1 0 2
- d 1.895, 2θ 48.02, I 15.7, hkl 0 2 0
- d 1.357, 2θ 69.21, I 4.9, hkl 0 0 4
- d 1.355, 2θ 69.35, I 5.1, hkl 2 0 0
- d 1.348, 2θ 69.77, I 19.9, hkl 1 2 2

[2]
This entry pairs a crystal structure of K3Sc3TiTe8 with its calculated powder XRD pattern. Radiation: copper Kα. Structure: DFT lattice parameters and positions (PBE).
No peak broadening, texture or thermal motion is included.

a = 14.466 Å, b = 8.360 Å, c = 9.716 Å
α = 90.00°, β = 119.75°, γ = 90.00°
Space group C2/m (No. 12)
Unique sites:
K  0.000  0.000  0.000 (multiplicity 2)
K  0.250  0.250  0.000 (multiplicity 4)
Sc  0.000  0.500  0.500 (multiplicity 2)
Sc  0.250  0.250  0.500 (multiplicity 4)
Ti  0.000  0.000  0.500 (multiplicity 2)
Te  0.017  0.243  0.307 (multiplicity 8)
Te  0.226  0.000  0.693 (multiplicity 4)
Te  0.233  0.500  0.699 (multiplicity 4)

Main lines, in order of rising 2θ (2θ = 5–70°):
- d 8.435, 2θ 10.49, I 38.7, hkl 0 0 1
- d 3.479, 2θ 25.61, I 38.7, hkl 2 2 0
- d 3.141, 2θ 28.42, I 100.0, hkl 4 0 0
- d 2.943, 2θ 30.37, I 13.9, hkl 4 0 -3
- d 2.557, 2θ 35.09, I 24.4, hkl 2 2 -3
- d 2.381, 2θ 37.78, I 25.8, hkl 2 2 2
- d 2.088, 2θ 43.32, I 24.1, hkl 6 2 -2
- d 1.941, 2θ 46.79, I 17.9, hkl 2 2 3
- d 1.739, 2θ 52.62, I 16.8, hkl 4 4 0
- d 1.677, 2θ 54.74, I 13.9, hkl 0 4 3

[3]
This entry pairs a crystal structure of Sm4WN5 with its calculated powder XRD pattern. Radiation: copper Kα. Structure: DFT lattice parameters and positions (PBE).
No peak broadening, texture or thermal motion is included.

a = 7.675 Å, b = 7.675 Å, c = 5.093 Å
α = 90.00°, β = 90.00°, γ = 90.00°
Space group I4 (No. 79)
Unique sites:
Sm  0.104  0.695  0.000 (multiplicity 8)
W  0.000  0.000  0.560 (multiplicity 2)
N  0.000  0.000  0.926 (multiplicity 2)
N  0.091  0.736  0.501 (multiplicity 8)

Main lines, in order of rising 2θ (2θ = 5–70°):
- d 4.244, 2θ 20.93, I 3.9, hkl 1 0 1
- d 2.846, 2θ 31.43, I 100.0, hkl 1 2 1
- d 2.547, 2θ 35.24, I 23.6, hkl 0 0 2
- d 2.427, 2θ 37.04, I 45.1, hkl 3 1 0
- d 2.305, 2θ 39.07, I 1.5, hkl 1 1 2
- d 1.757, 2θ 52.05, I 30.4, hkl 3 1 2
- d 1.716, 2θ 53.39, I 15.2, hkl 2 4 0
- d 1.522, 2θ 60.87, I 14.4, hkl 1 2 3
- d 1.470, 2θ 63.28, I 28.9, hkl 5 0 1
- d 1.423, 2θ 65.60, I 14.7, hkl 2 4 2

[4]
This entry pairs a crystal structure of Ta2VTe2Se4 with its calculated powder XRD pattern. Radiation: copper Kα. Structure: DFT lattice parameters and positions (PBE).
No peak broadening, texture or thermal motion is included.

a = 3.5069 Å, b = 3.5069 Å, c = 22.1232 Å
α = 90.00°, β = 90.00°, γ = 120.00°
Space group P3m1 (No. 156)
Unique sites:
Ta  0.0000  0.0000  0.0000 (multiplicity 1)
Ta  0.3333  0.6667  0.3189 (multiplicity 1)
V  0.3333  0.6667  0.6741 (multiplicity 1)
Te  0.0000  0.0000  0.5933 (multiplicity 1)
Te  0.0000  0.0000  0.7548 (multiplicity 1)
Se  0.0000  0.0000  0.2436 (multiplicity 1)
Se  0.0000  0.0000  0.3943 (multiplicity 1)
Se  0.3333  0.6667  0.0753 (multiplicity 1)
Se  0.3333  0.6667  0.9246 (multiplicity 1)

Main lines, in order of rising 2θ (2θ = 5–70°):
- d 7.374, 2θ 12.00, I 100.0, hkl 0 0 3
- d 3.037, 2θ 29.41, I 46.2, hkl 1 0 0
- d 2.808, 2θ 31.87, I 15.4, hkl 1 0 3
- d 2.662, 2θ 33.67, I 22.4, hkl 0 1 4
- d 2.504, 2θ 35.86, I 78.9, hkl 1 0 5
- d 2.190, 2θ 41.22, I 14.8, hkl 0 1 7
- d 2.045, 2θ 44.30, I 48.3, hkl 1 0 8
- d 1.753, 2θ 52.16, I 32.8, hkl 1 1 0
- d 1.706, 2θ 53.73, I 13.6, hkl 1 1 3
- d 1.436, 2θ 64.92, I 13.8, hkl 0 2 5

[5]
This entry pairs a crystal structure of LaDy3Y6Sc2 with its calculated powder XRD pattern. Radiation: copper Kα. Structure: DFT lattice parameters and positions (PBE).
No peak broadening, texture or thermal motion is included.

a = 6.110 Å, b = 10.577 Å, c = 11.721 Å
α = 90.00°, β = 99.95°, γ = 90.00°
Space group C2/m (No. 12)
Unique sites:
La  0.000  0.000  0.000 (multiplicity 2)
Dy  0.000  0.167  0.500 (multiplicity 4)
Dy  0.000  0.500  0.500 (multiplicity 2)
Y  0.246  0.500  0.248 (multiplicity 4)
Y  0.249  0.332  0.752 (multiplicity 8)
Sc  0.000  0.333  0.000 (multiplicity 4)

Main lines, in order of rising 2θ (2θ = 5–70°):
- d 11.545, 2θ 7.66, I 20.9, hkl 0 0 1
- d 3.042, 2θ 29.36, I 3.6, hkl 2 0 -1
- d 2.882, 2θ 31.03, I 100.0, hkl 1 3 1
- d 2.496, 2θ 35.99, I 50.1, hkl 2 0 2
- d 1.765, 2θ 51.79, I 28.9, hkl 1 3 5
- d 1.763, 2θ 51.86, I 5.8, hkl 0 6 0
- d 1.507, 2θ 61.53, I 3.4, hkl 2 0 6
- d 1.505, 2θ 61.62, I 30.5, hkl 4 0 0
- d 1.504, 2θ 61.69, I 6.8, hkl 2 6 -2
- d 1.440, 2θ 64.73, I 8.7, hkl 2 6 2